1.
Diffraction record for Zr3Mn2Ga6. The powder X-ray diffraction pattern is calculated, not measured: it uses the GGA-PBE geometry in Alexandria and λ = 1.5418 Å (Cu Kα).
Neutral-atom scattering factors, no anomalous dispersion.

Cell and atoms:
Cell: 5.424 8.783 7.740 Å, 90.00 90.00 90.00°
Space group Pmmn (No. 59, origin choice 2)
Asymmetric unit:
Zr1 0.250 0.030 0.152
Zr2 0.250 0.750 0.722
Mn1 0.000 0.000 0.500
Ga1 0.009 0.750 0.044
Ga2 0.250 0.064 0.763
Ga3 0.250 0.250 0.436
Ga4 0.250 0.750 0.369

Peak list (8 most intense, 2θ from 10° to 90°, by intensity)
2θ (°)	intensity	hkl
40.81	100	2 2 1
40.59	97	2 0 2
38.63	43	1 0 3
34.82	40	1 3 0
41.11	40	0 4 0
35.06	36	1 2 2
42.14	35	1 3 2
78.24	22	2 3 5



2.
Diffraction record for Ga3Mo. The powder X-ray diffraction pattern is calculated, not measured: it uses the GGA-PBE geometry in Alexandria and λ = 1.5418 Å (Cu Kα).
Neutral-atom scattering factors, no anomalous dispersion.

Cell and atoms:
Cell: 2.902 9.049 4.831 Å, 90.00 90.00 90.00°
Space group Imm2 (No. 44)
Asymmetric unit:
Ga1 0.000 0.000 0.000
Ga2 0.000 0.242 0.666
Mo1 0.000 0.500 0.983

Peak list (8 most intense, 2θ from 10° to 90°, by intensity)
2θ (°)	intensity	hkl
41.42	100	1 2 1
42.42	51	0 2 2
39.85	38	0 4 0
36.10	28	1 0 1
80.32	18	1 4 3
73.42	17	1 6 1
54.85	16	1 4 1
66.39	16	1 0 3



3.
Diffraction record for Ga13Mo2. The powder X-ray diffraction pattern is calculated, not measured: it uses the GGA-PBE geometry in Alexandria and λ = 1.5418 Å (Cu Kα).
Neutral-atom scattering factors, no anomalous dispersion.

Cell and atoms:
Cell: 5.227 6.700 7.973 Å, 74.71 88.19 79.62°
Space group P-1 (No. 2)
Asymmetric unit:
Ga1 0.000 0.000 0.000
Ga2 0.016 0.496 0.665
Ga3 0.225 0.608 0.939
Ga4 0.273 0.203 0.182
Ga5 0.298 0.075 0.581
Ga6 0.457 0.199 0.868
Ga7 0.499 0.431 0.362
Mo1 0.199 0.824 0.375

Peak list (8 most intense, 2θ from 10° to 90°, by intensity)
2θ (°)	intensity	hkl
38.92	100	0 2 3
40.11	88	1 -2 1
41.71	83	1 3 1
40.74	74	2 1 2
33.42	55	1 1 -2
40.58	49	-2 1 1
44.42	43	-2 1 2
33.20	36	0 2 -1



4.
Diffraction record for GaMo2. The powder X-ray diffraction pattern is calculated, not measured: it uses the GGA-PBE geometry in Alexandria and λ = 1.5418 Å (Cu Kα).
Neutral-atom scattering factors, no anomalous dispersion.

Cell and atoms:
Cell: 3.130 13.083 4.655 Å, 90.00 90.00 90.00°
Space group Fmm2 (No. 42)
Asymmetric unit:
Ga1 0.000 0.000 0.000
Mo1 0.000 0.168 0.361

Peak list (8 most intense, 2θ from 10° to 90°, by intensity)
2θ (°)	intensity	hkl
40.42	100	1 3 1
41.41	27	0 6 0
38.68	18	0 0 2
74.86	16	1 9 1
41.16	14	0 2 2
35.23	13	1 1 1
87.42	11	2 6 2
57.95	10	0 6 2



5.
Diffraction record for Ga3Mo2. The powder X-ray diffraction pattern is calculated, not measured: it uses the GGA-PBE geometry in Alexandria and λ = 1.5418 Å (Cu Kα).
Neutral-atom scattering factors, no anomalous dispersion.

Cell and atoms:
Cell: 9.281 3.559 6.264 Å, 90.00 131.47 90.00°
Space group C2/m (No. 12)
Asymmetric unit:
Ga1 0.000 0.000 0.000
Ga2 0.202 0.000 0.786
Mo1 0.076 0.500 0.360

Peak list (8 most intense, 2θ from 10° to 90°, by intensity)
2θ (°)	intensity	hkl
38.80	100	1 1 1
40.67	93	3 1 -2
41.78	41	4 0 -1
45.13	31	2 0 -3
51.35	23	0 2 0
68.27	18	4 2 -1
70.73	15	2 2 -3
76.76	13	7 1 -3



6.
Diffraction record for GaMo2N. The powder X-ray diffraction pattern is calculated, not measured: it uses the GGA-PBE geometry in Alexandria and λ = 1.5418 Å (Cu Kα).
Neutral-atom scattering factors, no anomalous dispersion.

Cell and atoms:
Cell: 2.8852 2.8852 23.4783 Å, 90.00 90.00 120.00°
Space group R-3m (No. 166, hexagonal axes)
Asymmetric unit:
Ga1 0.0000 0.0000 0.0000
Mo1 0.0000 0.0000 0.1080
N1 0.0000 0.0000 0.5000

Peak list (8 most intense, 2θ from 10° to 90°, by intensity)
2θ (°)	intensity	hkl
36.15	100	1 0 1
34.38	54	0 0 9
53.56	45	1 0 10
47.81	45	0 1 8
36.78	35	0 1 2
75.28	33	1 1 9
64.61	30	1 1 0
40.91	26	0 1 5